# Cs2DyRuO6
Simulated X-ray diffraction stick pattern, Cu Ka. Input: the PBE geometry in Alexandria.
Intensities are scaled so that the largest is 100.

Cell and atoms:
```
Cs2DyRuO6
1.0
6.6324 0.0000 0.0000
-3.3162 5.7439 0.0000
0.0000 0.0000 5.7313
Cs Dy Ru O
2 1 1 6
direct
0.3333 0.6667 0.1500
0.6667 0.3333 0.8500
0.0000 0.0000 0.5000
0.0000 0.0000 0.0000
0.1325 0.2651 0.7938
0.1325 0.8675 0.7938
0.2651 0.1325 0.2062
0.7349 0.8675 0.7938
0.8675 0.1325 0.2062
0.8675 0.7349 0.2062
```

The 10 most intense peaks (15 to 90 degrees two-theta), most intense first:
- (1 1 0), 2θ 26.89, I = 100
- (0 1 2), 2θ 34.97, I = 78
- (1 0 0), 2θ 15.43, I = 57
- (1 0 1), 2θ 21.91, I = 55
- (2 0 2), 2θ 44.66, I = 50
- (1 2 2), 2θ 52.91, I = 34
- (2 2 0), 2θ 55.45, I = 26
- (3 1 2), 2θ 67.23, I = 20
- (3 0 0), 2θ 47.49, I = 19
- (4 1 0), 2θ 75.94, I = 16